Structure and simulated PXRD pattern of Pm2Zn6Ag3 (the GGA-PBE geometry in Alexandria; Cu Kα, 1.54184 Å).
Lines closer than 0.1° are merged.

Top 10 peaks for 2θ = 10–90°, in order of rising 2θ:
2theta	I/Imax
23.80	14
32.71	100
33.68	26
36.06	37
36.32	13
42.69	17
42.94	18
45.12	26
53.91	19
57.26	14

Crystal structure
Cell: 9.8980 11.4127 4.0192 Å, 90.00 90.00 90.00°
Space group Cmmm (No. 65)
Symmetry-distinct sites (fractional):
Pm  0.0000  0.2085  0.0000 x4
Zn  0.1187  0.0000  0.5000 x4
Zn  0.1973  0.3431  0.5000 x8
Ag  0.0000  0.5000  0.5000 x2
Ag  0.2066  0.5000  0.0000 x4